Diffraction record for Pr5Si2Bi2. The PXRD pattern is theoretical, not measured: it uses a crystal structure in Alexandria, relaxed with PBE and Cu Kα.

Principal peaks in the range 10 to 80 degrees two-theta, by intensity:
2θ 31.2, I = 100; 2θ 31.9, I = 68; 2θ 30.7, I = 61; 2θ 33.1, I = 36; 2θ 24.2, I = 36; 2θ 55.3, I = 34

Atomic structure:
Cell lengths 15.9866, 8.2256, 8.2606 Å; angles 90.00, 90.00, 90.00 degrees
Space group Cmce (No. 64)
Asymmetric unit:
Pr1 0.0000 0.0000 0.0000
Pr2 0.1259 0.1741 0.3263
Si1 0.0000 0.1165 0.6162
Bi1 0.2092 0.0000 0.0000

=====

Diffraction record for Ga3SnCl12. The PXRD pattern is theoretical, not measured: it uses a crystal structure in Alexandria, relaxed with PBE and Cu Kα.

Principal peaks in the range 10 to 80 degrees two-theta, by intensity:
2θ 16.8, I = 100; 2θ 14.8, I = 69; 2θ 30.2, I = 44; 2θ 40.2, I = 30; 2θ 25.1, I = 28; 2θ 34.2, I = 15

Atomic structure:
Cell lengths 11.7926, 11.7926, 35.8049 Å; angles 90.00, 90.00, 120.00 degrees
Space group R3c (No. 161, hexagonal axes)
Asymmetric unit:
Ga1 0.0185 0.3125 0.0000
Sn1 0.0000 0.0000 0.4941
Cl1 0.0792 0.2163 0.9534
Cl2 0.1497 0.4498 0.3119
Cl3 0.1915 0.4489 0.0291
Cl4 0.2095 0.4508 0.7025

=====

Diffraction record for LiCd2Te2. The PXRD pattern is theoretical, not measured: it uses a crystal structure in Alexandria, relaxed with PBE and Cu Kα.

Principal peaks in the range 10 to 80 degrees two-theta, by intensity:
2θ 32.6, I = 100; 2θ 15.5, I = 29; 2θ 21.9, I = 23; 2θ 30.6, I = 17; 2θ 35.0, I = 17; 2θ 51.3, I = 15

Atomic structure:
Cell lengths 8.1043, 8.1043, 4.2184 Å; angles 90.00, 90.00, 90.00 degrees
Space group P4/mbm (No. 127)
Asymmetric unit:
Li1 0.0000 0.0000 0.0000
Cd1 0.1272 0.3728 0.5000
Te1 0.1911 0.6911 0.0000

=====

Diffraction record for Er3TaSi6. The PXRD pattern is theoretical, not measured: it uses a crystal structure in Alexandria, relaxed with PBE and Cu Kα.

Principal peaks in the range 10 to 80 degrees two-theta, by intensity:
2θ 35.4, I = 100; 2θ 38.3, I = 95; 2θ 38.1, I = 83; 2θ 18.8, I = 79; 2θ 29.6, I = 49; 2θ 30.0, I = 46

Atomic structure:
Cell lengths 10.8512, 10.8512, 10.9161 Å; angles 90.00, 90.00, 120.00 degrees
Space group R-3c (No. 167, hexagonal axes)
Asymmetric unit:
Er1 0.0000 0.4345 0.2500
Ta1 0.0000 0.0000 0.0000
Si1 0.0682 0.2105 0.3410

=====

Diffraction record for V3ZnGa. The PXRD pattern is theoretical, not measured: it uses a crystal structure in Alexandria, relaxed with PBE and Cu Kα.

Principal peaks in the range 10 to 80 degrees two-theta, by intensity:
2θ 43.7, I = 100; 2θ 39.9, I = 66; 2θ 75.1, I = 36; 2θ 57.7, I = 21; 2θ 69.0, I = 6; 2θ 28.7, I = 4

Atomic structure:
Cell lengths 4.5192, 13.6071, 4.5203 Å; angles 90.00, 90.00, 90.00 degrees
Space group Cmcm (No. 63)
Asymmetric unit:
V1 0.0000 0.0485 0.2500
V2 0.0000 0.2503 0.2500
V3 0.0000 0.4495 0.2500
Zn1 0.0000 0.3522 0.7500
Ga1 0.0000 0.1487 0.7500

=====

Diffraction record for TbTmIn3. The PXRD pattern is theoretical, not measured: it uses a crystal structure in Alexandria, relaxed with PBE and Cu Kα.

Principal peaks in the range 10 to 80 degrees two-theta, by intensity:
2θ 32.4, I = 100; 2θ 15.8, I = 97; 2θ 40.3, I = 79; 2θ 30.8, I = 78; 2θ 31.9, I = 71; 2θ 36.7, I = 54

Atomic structure:
Cell lengths 5.8088, 5.8088, 21.9932 Å; angles 90.00, 90.00, 90.00 degrees
Space group I-4m2 (No. 119)
Asymmetric unit:
Tb1 0.0000 0.0000 0.0000
Tb2 0.0000 0.5000 0.2500
Tm1 0.0000 0.0000 0.4202
In1 0.0000 0.2477 0.1271
In2 0.0000 0.5000 0.5080

=====

Diffraction record for Ca2Y2Sb2S. The PXRD pattern is theoretical, not measured: it uses a crystal structure in Alexandria, relaxed with PBE and Cu Kα.

Principal peaks in the range 10 to 80 degrees two-theta, by intensity:
2θ 33.2, I = 100; 2θ 34.9, I = 73; 2θ 26.9, I = 47; 2θ 11.0, I = 45; 2θ 61.6, I = 44; 2θ 32.8, I = 30

Atomic structure:
Cell lengths 5.1354, 5.1354, 16.1361 Å; angles 90.00, 90.00, 90.00 degrees
Space group I4/mmm (No. 139)
Asymmetric unit:
Ca1 0.0000 0.0000 0.1737
Y1 0.0000 0.5000 0.0000
Sb1 0.0000 0.0000 0.3687
S1 0.0000 0.0000 0.0000

=====

Diffraction record for Pm3Y7Tm2. The PXRD pattern is theoretical, not measured: it uses a crystal structure in Alexandria, relaxed with PBE and Cu Kα.

Principal peaks in the range 10 to 80 degrees two-theta, by intensity:
2θ 31.1, I = 100; 2θ 30.6, I = 63; 2θ 31.7, I = 48; 2θ 34.6, I = 46; 2θ 31.5, I = 46; 2θ 30.7, I = 46

Atomic structure:
Cell lengths 5.8506, 3.5736, 18.8198 Å; angles 90.00, 93.09, 90.00 degrees
Space group P2/m (No. 10)
Asymmetric unit:
Pm1 0.0000 0.0000 0.0000
Pm2 0.2801 0.5000 0.6343
Y1 0.1879 0.5000 0.1444
Y2 0.2428 0.0000 0.4628
Y3 0.3086 0.0000 0.8213
Y4 0.5000 0.5000 0.0000
Tm1 0.2085 0.0000 0.2933

=====

Diffraction record for IF5. The PXRD pattern is theoretical, not measured: it uses a crystal structure in Alexandria, relaxed with PBE and Cu Kα.

Principal peaks in the range 10 to 80 degrees two-theta, by intensity:
2θ 20.0, I = 100; 2θ 21.5, I = 80; 2θ 21.6, I = 38; 2θ 25.3, I = 27; 2θ 24.9, I = 21; 2θ 33.2, I = 18

Atomic structure:
Cell lengths 7.1502, 8.5725, 18.7255 Å; angles 92.86, 90.02, 114.63 degrees
Space group P-1 (No. 2)
Asymmetric unit:
I1 0.0246 0.4297 0.3464
I2 0.0877 0.7880 0.9465
I3 0.2494 0.9999 0.2500
I4 0.3005 0.2123 0.5534
I5 0.4049 0.4298 0.8464
F1 0.0272 0.2426 0.2854
F2 0.0417 0.4269 0.5844
F3 0.0454 0.9175 0.8716
F4 0.0555 0.6077 0.8750
F5 0.1285 0.0833 0.6283
F6 0.1419 0.3548 0.4233
F7 0.1619 0.5456 0.7216
F8 0.1838 0.7913 0.2999
F9 0.1995 0.9951 0.0075
F10 0.2020 0.6797 0.0099
F11 0.2045 0.0052 0.4924
F12 0.2128 0.3553 0.9233
F13 0.2146 0.2427 0.7855
F14 0.2160 0.7390 0.6221
F15 0.2209 0.8691 0.1616
F16 0.3508 0.1308 0.3385
F17 0.3541 0.8781 0.9126
F18 0.3843 0.5460 0.2217
F19 0.3853 0.4270 0.0844
F20 0.3915 0.2086 0.2002
F21 0.4493 0.3924 0.6249
F22 0.4760 0.1213 0.5874
F23 0.4763 0.2608 0.8779
F24 0.4767 0.6799 0.5099
F25 0.4906 0.9996 0.7498

=====

Diffraction record for MgC2S2O2F2. The PXRD pattern is theoretical, not measured: it uses a crystal structure in Alexandria, relaxed with PBE and Cu Kα.

Principal peaks in the range 10 to 80 degrees two-theta, by intensity:
2θ 27.6, I = 100; 2θ 29.3, I = 42; 2θ 23.3, I = 29; 2θ 11.6, I = 23; 2θ 24.8, I = 20; 2θ 38.2, I = 19

Atomic structure:
Cell lengths 4.2162, 5.2438, 7.8137 Å; angles 91.55, 101.12, 112.03 degrees
Space group P-1 (No. 2)
Asymmetric unit:
Mg1 0.0000 0.0000 0.0000
C1 0.3200 0.0998 0.7909
S1 0.3710 0.6212 0.2593
O1 0.2715 0.3813 0.1190
F1 0.2358 0.8925 0.6559

=====

Diffraction record for CaNd2IrO8. The PXRD pattern is theoretical, not measured: it uses a crystal structure in Alexandria, relaxed with PBE and Cu Kα.

Principal peaks in the range 10 to 80 degrees two-theta, by intensity:
2θ 30.6, I = 100; 2θ 24.3, I = 58; 2θ 24.6, I = 52; 2θ 46.8, I = 40; 2θ 47.2, I = 37; 2θ 21.3, I = 31

Atomic structure:
Cell lengths 5.1460, 7.1024, 5.1651 Å; angles 90.00, 90.77, 90.00 degrees
Space group P2/m (No. 10)
Asymmetric unit:
Ca1 0.0000 0.0000 0.0000
Nd1 0.5000 0.2461 0.5000
Ir1 0.0000 0.5000 0.0000
O1 0.1798 0.3055 0.8226
O2 0.2605 0.5000 0.2622
O3 0.3059 0.0000 0.3081